Simulated X-ray diffraction stick pattern of NbWSe4 for Cu Kα, from DFT lattice parameters and positions (GGA-PBE).
Peak positions follow from Bragg's law for the DFT cell and can differ from measured ones.

Most intense lines, 5 to 70 degrees two-theta, by angle:
- 2θ = 7.2°, I 100
- 2θ = 14.4°, I 5
- 2θ = 30.7°, I 5
- 2θ = 35.6°, I 7
- 2θ = 40.0°, I 8
- 2θ = 45.4°, I 4

```
12
Lattice="24.567 0.000 0.000 0.000 3.391 0.000 0.000 0.000 5.874" Properties=species:S:1:pos:R:3 pbc="T T T"
Nb 0.000 0.000 0.000
Nb 0.000 1.696 2.937
W 12.283 0.000 2.937
W 12.283 1.696 5.874
Se 1.711 0.000 1.958
Se 1.711 1.696 4.895
Se 10.630 0.000 4.895
Se 10.630 1.696 1.958
Se 13.936 0.000 4.895
Se 13.936 1.696 1.958
Se 22.856 0.000 1.958
Se 22.856 1.696 4.895
```

Simulated X-ray diffraction stick pattern of Nb6Si5 for Cu Kα, from DFT lattice parameters and positions (GGA-PBE).
Peak positions follow from Bragg's law for the DFT cell and can differ from measured ones.

Most intense lines, 5 to 70 degrees two-theta, by angle:
- 2θ = 29.5°, I 28
- 2θ = 37.6°, I 27
- 2θ = 38.1°, I 31
- 2θ = 39.1°, I 43
- 2θ = 39.7°, I 100
- 2θ = 41.3°, I 31

```
22
Lattice="-3.970 8.424 2.615 3.970 -8.424 2.615 3.970 8.424 -2.615" Properties=species:S:1:pos:R:3 pbc="T T T"
Nb 3.970 5.219 -1.307
Nb 1.966 1.068 0.000
Nb 4.900 2.415 0.000
Nb 0.930 6.009 0.000
Nb 1.966 -1.068 2.615
Nb 0.000 3.204 1.307
Nb 3.970 5.219 1.307
Nb 2.004 9.491 0.000
Nb 3.040 2.415 2.615
Nb -0.930 6.009 2.615
Nb 2.004 7.356 2.615
Nb 0.000 3.204 3.922
Si 7.254 1.062 0.000
Si 2.366 3.595 0.000
Si 3.970 0.000 1.307
Si 2.366 -3.595 2.615
Si 3.284 7.362 0.000
Si 0.687 1.062 2.615
Si 1.605 12.019 0.000
Si 0.000 8.424 1.307
Si 1.605 4.828 2.615
Si -3.284 7.362 2.615
```

Simulated X-ray diffraction stick pattern of Nb3Si for Cu Kα, from DFT lattice parameters and positions (GGA-PBE).
Peak positions follow from Bragg's law for the DFT cell and can differ from measured ones.

Most intense lines, 5 to 70 degrees two-theta, by angle:
- 2θ = 35.9°, I 100
- 2θ = 37.0°, I 90
- 2θ = 39.0°, I 51
- 2θ = 40.0°, I 97
- 2θ = 42.9°, I 30
- 2θ = 63.8°, I 32

```
16
Lattice="-5.162 5.162 2.579 5.162 -5.162 2.579 5.162 5.162 -2.579" Properties=species:S:1:pos:R:3 pbc="T T T"
Nb 2.927 3.180 -1.269
Nb 5.014 1.477 -0.076
Nb 6.012 4.157 -1.225
Nb -0.850 1.005 1.354
Nb 2.235 1.982 1.310
Nb 3.685 -0.148 2.655
Nb 1.477 5.310 0.076
Nb 7.144 2.927 1.269
Nb 4.157 4.312 1.225
Nb 1.005 0.850 3.803
Nb 0.148 3.685 2.502
Nb -1.982 2.235 3.847
Si 7.315 0.273 0.094
Si 0.273 3.009 -0.094
Si 4.889 2.153 2.484
Si -2.153 4.889 2.673
```

Simulated X-ray diffraction stick pattern of SmYNb2Si2 for Cu Kα, from DFT lattice parameters and positions (GGA-PBE).
Peak positions follow from Bragg's law for the DFT cell and can differ from measured ones.

Most intense lines, 5 to 70 degrees two-theta, by angle:
- 2θ = 24.8°, I 37
- 2θ = 31.7°, I 61
- 2θ = 33.5°, I 100
- 2θ = 34.0°, I 34
- 2θ = 39.0°, I 58
- 2θ = 45.1°, I 46

```
6
Lattice="4.022 0.000 0.000 0.000 4.022 0.000 0.000 0.000 7.901" Properties=species:S:1:pos:R:3 pbc="T T T"
Sm 0.000 0.000 0.000
Y 2.011 2.011 2.324
Nb 0.000 2.011 5.084
Nb 2.011 0.000 5.084
Si 0.000 0.000 3.225
Si 2.011 2.011 6.936
```

Simulated X-ray diffraction stick pattern of Tm2TaNbSi2 for Cu Kα, from DFT lattice parameters and positions (GGA-PBE).
Peak positions follow from Bragg's law for the DFT cell and can differ from measured ones.

Most intense lines, 5 to 70 degrees two-theta, by angle:
- 2θ = 25.2°, I 47
- 2θ = 32.5°, I 56
- 2θ = 33.9°, I 100
- 2θ = 35.3°, I 34
- 2θ = 39.8°, I 51
- 2θ = 45.6°, I 43

```
6
Lattice="3.981 0.000 0.000 0.000 3.981 0.000 0.000 0.000 7.634" Properties=species:S:1:pos:R:3 pbc="T T T"
Tm 0.000 1.990 1.123
Tm 1.990 0.000 6.511
Ta 0.000 0.000 3.817
Nb 1.990 1.990 3.817
Si 0.000 1.990 5.695
Si 1.990 0.000 1.939
```

Simulated X-ray diffraction stick pattern of Nb2SiW for Cu Kα, from DFT lattice parameters and positions (GGA-PBE).
Peak positions follow from Bragg's law for the DFT cell and can differ from measured ones.

Most intense lines, 5 to 70 degrees two-theta, by angle:
- 2θ = 24.2°, I 18
- 2θ = 28.0°, I 18
- 2θ = 40.0°, I 100
- 2θ = 47.3°, I 9
- 2θ = 57.8°, I 17
- 2θ = 65.5°, I 7

```
16
Lattice="6.376 0.000 0.000 0.000 6.376 0.000 0.000 0.000 6.376" Properties=species:S:1:pos:R:3 pbc="T T T"
Nb 0.000 0.000 0.000
Nb 0.000 3.188 3.188
Nb 1.594 1.594 1.594
Nb 1.594 4.782 4.782
Nb 3.188 0.000 3.188
Nb 3.188 3.188 0.000
Nb 4.782 1.594 4.782
Nb 4.782 4.782 1.594
Si 0.000 0.000 3.188
Si 0.000 3.188 0.000
Si 3.188 0.000 0.000
Si 3.188 3.188 3.188
W 1.594 1.594 4.782
W 1.594 4.782 1.594
W 4.782 1.594 1.594
W 4.782 4.782 4.782
```

What did the sixth record say?
Simulated X-ray diffraction stick pattern of Nb2SiW for Cu Kα, from DFT lattice parameters and positions (GGA-PBE).
Peak positions follow from Bragg's law for the DFT cell and can differ from measured ones.

Most intense lines, 5 to 70 degrees two-theta, by angle:
- 2θ = 24.2°, I 18
- 2θ = 28.0°, I 18
- 2θ = 40.0°, I 100
- 2θ = 47.3°, I 9
- 2θ = 57.8°, I 17
- 2θ = 65.5°, I 7

```
16
Lattice="6.376 0.000 0.000 0.000 6.376 0.000 0.000 0.000 6.376" Properties=species:S:1:pos:R:3 pbc="T T T"
Nb 0.000 0.000 0.000
Nb 0.000 3.188 3.188
Nb 1.594 1.594 1.594
Nb 1.594 4.782 4.782
Nb 3.188 0.000 3.188
Nb 3.188 3.188 0.000
Nb 4.782 1.594 4.782
Nb 4.782 4.782 1.594
Si 0.000 0.000 3.188
Si 0.000 3.188 0.000
Si 3.188 0.000 0.000
Si 3.188 3.188 3.188
W 1.594 1.594 4.782
W 1.594 4.782 1.594
W 4.782 1.594 1.594
W 4.782 4.782 4.782
```